# 1
Theoretical X-ray powder pattern of CoRu3 for Cu Kα (weighted mean of Kα1 and Kα2), from a crystal structure in Alexandria, relaxed with GGA-PBE.

Structural model:
```
8
Lattice="8.7757 0.0000 0.0000 0.0000 2.6642 0.0000 -0.7971 0.0000 4.5081" Properties=species:S:1:pos:R:3 pbc="T T T"
Co 0.0000 0.0000 0.0000
Co 4.3879 1.3321 0.0000
Ru -0.3986 1.3321 2.2540
Ru 1.9875 1.3321 1.0995
Ru 1.6033 0.0000 3.4086
Ru 3.9893 0.0000 2.2540
Ru 6.3753 0.0000 1.0995
Ru 5.9911 1.3321 3.4086
```

Main lines, in order of rising 2θ (10° ≤ 2θ ≤ 90°):
Position (°2θ)	I (rel.)
41.63	100
41.83	99
48.50	64
48.71	31
70.72	10
71.18	39
71.30	10
85.68	24
86.11	35
86.28	11

=====

# 2
Theoretical X-ray powder pattern of Zn3CuPt2 for Cu Kα (weighted mean of Kα1 and Kα2), from a crystal structure in Alexandria, relaxed with GGA-PBE.

Structural model:
```
12
Lattice="4.3086 0.0000 0.0000 -2.1543 3.7314 0.0000 0.0000 0.0000 10.6327" Properties=species:S:1:pos:R:3 pbc="T T T"
Zn 0.0000 0.0000 2.6262
Zn 0.0000 0.0000 8.0065
Zn 0.0000 2.4876 4.4100
Zn 0.0000 2.4876 9.7677
Zn 2.1543 1.2438 0.8649
Zn 2.1543 1.2438 6.2227
Cu 0.0000 2.4876 1.7860
Cu 2.1543 1.2438 8.8467
Pt 0.0000 0.0000 0.0000
Pt 0.0000 0.0000 5.3163
Pt 0.0000 2.4876 7.1438
Pt 2.1543 1.2438 3.4888
```

Main lines, in order of rising 2θ (10° ≤ 2θ ≤ 90°):
Position (°2θ)	I (rel.)
25.30	16
29.24	36
41.72	100
41.94	99
49.55	7
51.94	8
60.64	33
76.01	17
76.46	33
76.61	16

=====

# 3
Theoretical X-ray powder pattern of CsBaBi for Cu Kα (weighted mean of Kα1 and Kα2), from a crystal structure in Alexandria, relaxed with GGA-PBE.

Structural model:
```
12
Lattice="10.0807 0.0000 0.0000 0.0000 5.9673 0.0000 0.0000 0.0000 10.3613" Properties=species:S:1:pos:R:3 pbc="T T T"
Cs 0.1312 1.4918 1.7799
Cs 4.9091 4.4754 6.9606
Cs 5.1715 1.4918 3.4007
Cs 9.9495 4.4754 8.5814
Ba 1.5139 1.4918 6.0373
Ba 3.5264 4.4754 0.8567
Ba 6.5543 1.4918 9.5046
Ba 8.5667 4.4754 4.3240
Bi 2.0627 4.4754 4.1190
Bi 2.9777 1.4918 9.2996
Bi 7.1030 4.4754 1.0616
Bi 8.0180 1.4918 6.2423
```

Main lines, in order of rising 2θ (10° ≤ 2θ ≤ 90°):
Position (°2θ)	I (rel.)
19.28	22
24.41	80
24.66	97
27.91	46
29.92	100
31.75	27
34.90	24
41.40	32
46.83	25
50.96	18

=====

# 4
Theoretical X-ray powder pattern of Ti2HgTe4 for Cu Kα (weighted mean of Kα1 and Kα2), from a crystal structure in Alexandria, relaxed with GGA-PBE.

Structural model:
```
14
Lattice="20.8227 0.0000 0.0000 0.0000 3.7286 0.0000 -1.8646 0.0000 6.2463" Properties=species:S:1:pos:R:3 pbc="T T T"
Ti 4.7368 0.0000 1.5572
Ti 3.8099 1.8643 4.6891
Ti 14.2213 0.0000 4.6891
Ti 15.1482 1.8643 1.5572
Hg 0.0000 0.0000 0.0000
Hg 10.4114 1.8643 0.0000
Te 1.8184 0.0000 5.2339
Te 2.7548 1.8643 2.1126
Te 5.7920 0.0000 4.1337
Te 6.7284 1.8643 1.0124
Te 12.2298 1.8643 5.2339
Te 13.1661 0.0000 2.1126
Te 16.2033 1.8643 4.1337
Te 17.1397 0.0000 1.0124
```

Main lines, in order of rising 2θ (10° ≤ 2θ ≤ 90°):
Position (°2θ)	I (rel.)
14.18	24
14.42	23
26.81	49
28.88	83
29.08	48
32.40	53
33.21	100
45.61	40
46.47	18
48.50	36